# 1
For YTc, the PBE geometry in OQMD gives the calculated PXRD pattern in this record (a wavelength of 1.5418 Å).
Neutral-atom scattering factors, no anomalous dispersion.

Structural model:
```
YTc
1.0
3.367 0.000 0.000
-1.683 2.916 0.000
0.000 0.000 4.297
Y Tc
1 1
Direct
0.000 0.000 0.000 Y
0.333 0.667 0.500 Tc
```

Top 8 peaks for 2θ = 10–90°, in order of rising 2θ:
30.66 deg, 2.916 Å, I 29; 37.27 deg, 2.413 Å, I 100; 42.06 deg, 2.148 Å, I 16; 52.94 deg, 1.730 Å, I 12; 54.51 deg, 1.683 Å, I 22; 67.89 deg, 1.381 Å, I 16; 71.15 deg, 1.325 Å, I 19; 73.69 deg, 1.286 Å, I 13



# 2
For CsRb2As2Pd3, the PBE geometry in OQMD gives the calculated PXRD pattern in this record (a wavelength of 1.5418 Å).
Neutral-atom scattering factors, no anomalous dispersion.

Structural model:
```
CsRb2As2Pd3
1.0
2.983 1.722 7.339
-2.983 1.722 7.339
0.000 -3.444 7.339
Cs Rb As Pd
1 2 2 3
Direct
0.000 0.000 0.000 Cs
0.414 0.414 0.414 Rb
0.586 0.586 0.586 Rb
0.247 0.247 0.247 As
0.753 0.753 0.753 As
0.000 0.000 0.500 Pd
0.000 0.500 0.000 Pd
0.500 0.000 0.000 Pd
```

Top 8 peaks for 2θ = 10–90°, in order of rising 2θ:
12.06 deg, 7.339 Å, I 50; 26.60 deg, 3.351 Å, I 100; 29.96 deg, 2.983 Å, I 53; 32.40 deg, 2.763 Å, I 39; 33.35 deg, 2.687 Å, I 41; 35.70 deg, 2.515 Å, I 39; 38.50 deg, 2.339 Å, I 58; 38.91 deg, 2.315 Å, I 40



# 3
For DyErFe8B2, the PBE geometry in OQMD gives the calculated PXRD pattern in this record (a wavelength of 1.5418 Å).
Neutral-atom scattering factors, no anomalous dispersion.

Structural model:
```
DyErFe8B2
1.0
5.044 0.000 0.000
-2.522 4.368 0.000
0.000 0.000 7.027
Dy Er Fe B
1 1 8 2
Direct
0.000 0.000 0.000 Dy
0.000 0.000 0.500 Er
0.000 0.500 0.214 Fe
0.000 0.500 0.786 Fe
0.333 0.667 0.500 Fe
0.500 0.000 0.214 Fe
0.500 0.000 0.786 Fe
0.500 0.500 0.214 Fe
0.500 0.500 0.786 Fe
0.667 0.333 0.500 Fe
0.333 0.667 0.000 B
0.667 0.333 0.000 B
```

Top 8 peaks for 2θ = 10–90°, in order of rising 2θ:
20.33 deg, 4.368 Å, I 21; 32.71 deg, 2.738 Å, I 97; 35.60 deg, 2.522 Å, I 34; 41.34 deg, 2.184 Å, I 72; 44.21 deg, 2.049 Å, I 100; 62.11 deg, 1.494 Å, I 31; 69.93 deg, 1.345 Å, I 24; 75.37 deg, 1.261 Å, I 19



# 4
For RbSm2Ag3Te5, the PBE geometry in OQMD gives the calculated PXRD pattern in this record (a wavelength of 1.5418 Å).
Neutral-atom scattering factors, no anomalous dispersion.

Structural model:
```
RbSm2Ag3Te5
1.0
2.304 -8.080 0.000
2.304 8.080 0.000
0.000 0.000 18.545
Rb Sm Ag Te
2 4 6 10
Direct
0.058 0.942 0.750 Rb
0.942 0.058 0.250 Rb
0.189 0.811 0.094 Sm
0.189 0.811 0.406 Sm
0.811 0.189 0.594 Sm
0.811 0.189 0.906 Sm
0.335 0.665 0.750 Ag
0.412 0.588 0.028 Ag
0.412 0.588 0.472 Ag
0.588 0.412 0.528 Ag
0.588 0.412 0.972 Ag
0.665 0.335 0.250 Ag
0.174 0.826 0.575 Te
0.174 0.826 0.925 Te
0.262 0.738 0.250 Te
0.441 0.559 0.623 Te
0.441 0.559 0.877 Te
0.559 0.441 0.123 Te
0.559 0.441 0.377 Te
0.738 0.262 0.750 Te
0.826 0.174 0.075 Te
0.826 0.174 0.425 Te
```

Top 8 peaks for 2θ = 10–90°, in order of rising 2θ:
25.44 deg, 3.501 Å, I 50; 25.90 deg, 3.440 Å, I 72; 27.23 deg, 3.276 Å, I 79; 28.89 deg, 3.091 Å, I 55; 32.03 deg, 2.794 Å, I 100; 35.27 deg, 2.544 Å, I 67; 39.12 deg, 2.303 Å, I 92; 42.80 deg, 2.113 Å, I 62



# 5
For HfBiMo, the PBE geometry in OQMD gives the calculated PXRD pattern in this record (a wavelength of 1.5418 Å).
Neutral-atom scattering factors, no anomalous dispersion.

Structural model:
```
HfBiMo
1.0
7.688 0.000 0.000
-3.844 6.658 0.000
0.000 0.000 3.628
Hf Bi Mo
3 3 3
Direct
0.000 0.393 0.000 Hf
0.393 0.000 0.000 Hf
0.607 0.607 0.000 Hf
0.000 0.000 0.000 Bi
0.333 0.667 0.500 Bi
0.667 0.333 0.500 Bi
0.000 0.733 0.500 Mo
0.267 0.267 0.500 Mo
0.733 0.000 0.500 Mo
```

Top 8 peaks for 2θ = 10–90°, in order of rising 2θ:
23.14 deg, 3.844 Å, I 27; 33.98 deg, 2.638 Å, I 100; 35.68 deg, 2.516 Å, I 30; 36.64 deg, 2.453 Å, I 99; 40.65 deg, 2.219 Å, I 80; 43.78 deg, 2.068 Å, I 47; 66.41 deg, 1.408 Å, I 43; 66.59 deg, 1.404 Å, I 38



# 6
For PmHSe2, the PBE geometry in OQMD gives the calculated PXRD pattern in this record (a wavelength of 1.5418 Å).
Neutral-atom scattering factors, no anomalous dispersion.

Structural model:
```
PmHSe2
1.0
-2.011 2.011 4.658
2.011 -2.011 4.658
2.011 2.011 -4.658
Pm H Se
1 1 2
Direct
0.000 0.000 0.000 Pm
0.500 0.500 0.000 H
0.250 0.750 0.500 Se
0.750 0.250 0.500 Se
```

Top 8 peaks for 2θ = 10–90°, in order of rising 2θ:
24.11 deg, 3.692 Å, I 68; 36.56 deg, 2.458 Å, I 23; 37.04 deg, 2.427 Å, I 100; 38.66 deg, 2.329 Å, I 22; 45.09 deg, 2.011 Å, I 28; 51.77 deg, 1.766 Å, I 17; 60.87 deg, 1.522 Å, I 23; 77.87 deg, 1.227 Å, I 23



# 7
For HfHg3Se2Cl6, the PBE geometry in OQMD gives the calculated PXRD pattern in this record (a wavelength of 1.5418 Å).
Neutral-atom scattering factors, no anomalous dispersion.

Structural model:
```
HfHg3Se2Cl6
1.0
6.659 0.000 0.000
0.000 7.651 0.000
-0.425 0.000 13.352
Hf Hg Se Cl
2 6 4 12
Direct
0.000 0.000 0.000 Hf
0.000 0.500 0.500 Hf
0.494 0.204 0.238 Hg
0.494 0.296 0.738 Hg
0.500 0.000 0.500 Hg
0.500 0.500 0.000 Hg
0.506 0.704 0.262 Hg
0.506 0.796 0.762 Hg
0.314 0.537 0.831 Se
0.314 0.963 0.331 Se
0.686 0.037 0.669 Se
0.686 0.463 0.169 Se
0.136 0.222 0.566 Cl
0.136 0.278 0.066 Cl
0.148 0.051 0.836 Cl
0.148 0.449 0.336 Cl
0.310 0.649 0.558 Cl
0.310 0.851 0.058 Cl
0.690 0.149 0.942 Cl
0.690 0.351 0.442 Cl
0.852 0.551 0.664 Cl
0.852 0.949 0.164 Cl
0.864 0.722 0.934 Cl
0.864 0.778 0.434 Cl
```

Top 8 peaks for 2θ = 10–90°, in order of rising 2θ:
13.30 deg, 6.656 Å, I 75; 18.73 deg, 4.738 Å, I 100; 19.08 deg, 4.651 Å, I 84; 26.74 deg, 3.334 Å, I 67; 26.86 deg, 3.319 Å, I 63; 29.89 deg, 2.990 Å, I 49; 37.97 deg, 2.370 Å, I 56; 38.61 deg, 2.332 Å, I 42